This entry pairs a crystal structure of NaMnP2H10NO10 with its computed powder diffractogram. Radiation: λ = 1.5418 Å (Cu Kα). Structure: a GGA+U-relaxed structure.
No peak broadening, texture or thermal motion is included.

Peak list (8 most intense, 2θ = 10–90°, by angle)
(0 2 0), 2θ 10.7, intensity 100; (1 1 -1), 2θ 17.4, intensity 53; (1 1 1), 2θ 21.0, intensity 50; (1 3 1), 2θ 26.0, intensity 22; (3 1 -1), 2θ 28.5, intensity 64; (3 3 -1), 2θ 32.5, intensity 34; (1 5 1), 2θ 34.0, intensity 23; (2 4 1), 2θ 34.7, intensity 24

Atomic structure:
Unit cell a=10.2073 b=16.5362 c=5.6415 alpha=90.00 beta=103.76 gamma=90.00
Space group Cc (No. 9)
Unique sites:
Na (0.0000, 0.0586, 0.0000) x4
Mn (0.4693, 0.2437, 0.7157) x4
P (0.1575, 0.2881, 0.7961) x4
P (0.1770, 0.1290, 0.5881) x4
H (0.0946, 0.4150, 0.1183) x4
H (0.1108, 0.4272, 0.3917) x4
H (0.2610, 0.4892, 0.7611) x4
H (0.2645, 0.3239, 0.4143) x4
H (0.2808, 0.0216, 0.1668) x4
H (0.3428, 0.4084, 0.8349) x4
H (0.3480, 0.3062, 0.2164) x4
H (0.3556, 0.0944, 0.0291) x4
H (0.3702, 0.0980, 0.3346) x4
H (0.4527, 0.0249, 0.2087) x4
N (0.3652, 0.0601, 0.1845) x4
O (0.0786, 0.3192, 0.9764) x4
O (0.0963, 0.1515, 0.3318) x4
O (0.1019, 0.4593, 0.2409) x4
O (0.1066, 0.3221, 0.5355) x4
O (0.1287, 0.1912, 0.7802) x4
O (0.1468, 0.0460, 0.6797) x4
O (0.3113, 0.2994, 0.8924) x4
O (0.3304, 0.1418, 0.6241) x4
O (0.3489, 0.4630, 0.7680) x4
O (0.3575, 0.3196, 0.3920) x4